No. 1
Structure and calculated powder diffraction line list of Gd2ZnTe2S2O14 (a cell relaxed with PBE; Cu Kα (λ = 1.5418 Å)).

Atomic structure:
```
data_Gd2ZnTe2S2O14
_chemical_formula_sum 'Gd2 Zn1 Te2 S2 O14'
_symmetry_space_group_name_H-M 'P -1'
_symmetry_Int_Tables_number 2
_symmetry_space_group_name_Hall '-P 1'
_cell_length_a 5.3323
_cell_length_b 7.9902
_cell_length_c 8.2437
_cell_angle_alpha 63.86
_cell_angle_beta 73.38
_cell_angle_gamma 85.35
loop_
_atom_site_label
_atom_site_type_symbol
_atom_site_fract_x
_atom_site_fract_y
_atom_site_fract_z
Gd1 Gd 0.0818 0.2526 0.0151
Zn1 Zn 0.0000 0.0000 0.5000
Te1 Te 0.4838 0.7293 0.6602
S1 S 0.2382 0.7527 0.2526
O1 O 0.1128 0.5919 0.2551
O2 O 0.1293 0.7693 0.4310
O3 O 0.1779 0.9216 0.0905
O4 O 0.2495 0.9243 0.6654
O5 O 0.2508 0.5621 0.8923
O6 O 0.2784 0.1934 0.2495
O7 O 0.4742 0.2668 0.7799
```

Most intense lines, 2θ = 10–90°, in order of rising 2θ:
2θ/deg	I (rel.)
13.17	66.2
24.12	82.9
24.34	77.5
24.86	100.0
26.25	48.4
27.06	38.4
29.84	68.6
30.06	37.3
33.25	35.1
34.56	36.4
35.14	39.9
36.80	40.2


No. 2
Structure and calculated powder diffraction line list of Gd3SbO3 (a cell relaxed with PBE; Cu Kα (λ = 1.5418 Å)).

Atomic structure:
```
data_Gd3SbO3
_chemical_formula_sum 'Gd12 Sb4 O12'
_symmetry_space_group_name_H-M 'C 1 2/m 1'
_symmetry_Int_Tables_number 12
_symmetry_space_group_name_Hall '-C 2y'
_cell_length_a 13.3791
_cell_length_b 3.9299
_cell_length_c 11.9612
_cell_angle_alpha 90.00
_cell_angle_beta 118.40
_cell_angle_gamma 90.00
loop_
_atom_site_label
_atom_site_type_symbol
_atom_site_fract_x
_atom_site_fract_y
_atom_site_fract_z
Gd1 Gd 0.1196 0.0000 0.4422
Gd2 Gd 0.1281 0.0000 0.9005
Gd3 Gd 0.1571 0.5000 0.2077
Sb1 Sb 0.1185 0.5000 0.6804
O1 O 0.0637 0.0000 0.1969
O2 O 0.1642 0.5000 0.0153
O3 O 0.1903 0.5000 0.4099
```

Most intense lines, 2θ = 10–90°, in order of rising 2θ:
2θ/deg	I (rel.)
29.90	53.7
30.38	56.8
30.95	100.0
31.43	89.7
42.40	15.1
43.88	15.7
46.20	24.8
53.42	16.6
54.03	16.5
54.96	16.8
56.01	18.1
56.30	21.2


No. 3
Structure and calculated powder diffraction line list of Gd3Sb5O12 (a cell relaxed with PBE; Cu Kα (λ = 1.5418 Å)).

Atomic structure:
```
data_Gd3Sb5O12
_chemical_formula_sum 'Gd12 Sb20 O48'
_symmetry_space_group_name_H-M 'I -4 3 m'
_symmetry_Int_Tables_number 217
_symmetry_space_group_name_Hall 'I -4 2 3'
_cell_length_a 10.9986
_cell_length_b 10.9986
_cell_length_c 10.9986
_cell_angle_alpha 90.00
_cell_angle_beta 90.00
_cell_angle_gamma 90.00
loop_
_atom_site_label
_atom_site_type_symbol
_atom_site_fract_x
_atom_site_fract_y
_atom_site_fract_z
Gd1 Gd 0.0000 0.2500 0.5000
Sb1 Sb 0.0000 0.0000 0.2825
Sb2 Sb 0.2448 0.2448 0.7552
O1 O 0.1003 0.1003 0.6051
O2 O 0.1380 0.1380 0.3378
```

Most intense lines, 2θ = 10–90°, in order of rising 2θ:
2θ/deg	I (rel.)
11.38	14.9
28.10	100.0
30.41	4.2
32.56	35.0
46.72	42.8
55.41	38.7
58.11	8.8
62.00	4.1
68.21	5.4
75.33	13.0
77.65	11.0
86.75	9.3


No. 4
Structure and calculated powder diffraction line list of GdYScSbO7 (a cell relaxed with PBE; Cu Kα (λ = 1.5418 Å)).

Atomic structure:
```
data_GdYScSbO7
_chemical_formula_sum 'Gd4 Y4 Sc4 Sb4 O28'
_symmetry_space_group_name_H-M 'I m m a'
_symmetry_Int_Tables_number 74
_symmetry_space_group_name_Hall '-I 2b 2'
_cell_length_a 7.3857
_cell_length_b 7.4637
_cell_length_c 10.4408
_cell_angle_alpha 90.00
_cell_angle_beta 90.00
_cell_angle_gamma 90.00
loop_
_atom_site_label
_atom_site_type_symbol
_atom_site_fract_x
_atom_site_fract_y
_atom_site_fract_z
Gd1 Gd 0.0000 0.0000 0.0000
Y1 Y 0.2500 0.2500 0.2500
Sc1 Sc 0.2500 0.2500 0.7500
Sb1 Sb 0.0000 0.0000 0.5000
O1 O 0.0000 0.2500 0.1317
O2 O 0.0000 0.2500 0.4263
O3 O 0.0000 0.2500 0.8477
O4 O 0.1998 0.0297 0.6260
```

Most intense lines, 2θ = 10–90°, in order of rising 2θ:
2θ/deg	I (rel.)
16.98	21.2
29.42	98.1
29.63	100.0
34.16	38.1
34.36	18.7
48.81	17.7
49.23	65.3
49.36	15.4
58.14	28.5
58.51	41.0
58.65	13.7
80.04	16.4